Entry 1:
Simulated X-ray powder pattern of HgPt3I for Cu Kα, 1.54184 Å, from a crystal structure in Alexandria, relaxed with GGA-PBE.

Peak list (10 most intense, 2θ from 10° to 90°, most intense first)
| h k l | 2θ/deg | I (rel.) |
| --- | --- | --- |
| 1 1 1 | 30.91 | 100 |
| 2 0 0 | 35.84 | 98 |
| 2 2 0 | 51.59 | 70 |
| 3 1 1 | 61.36 | 44 |
| 4 2 0 | 86.95 | 33 |
| 2 2 2 | 64.41 | 24 |
| 3 3 1 | 84.23 | 19 |
| 4 0 0 | 75.96 | 11 |
| 1 1 0 | 25.13 | 11 |
| 1 0 0 | 17.70 | 10 |

Structure:
Cell: 5.011 5.011 5.011 Å, 90.00 90.00 90.00°
Space group Pm-3m (No. 221)
Inequivalent atoms, fractional coordinates:
Hg  0.000  0.000  0.000 [1 per cell]
Pt  0.000  0.500  0.500 [3 per cell]
I  0.500  0.500  0.500 [1 per cell]

Entry 2:
Simulated X-ray powder pattern of Cs2Sn2Se3 for Cu Kα, 1.54184 Å, from a crystal structure in Alexandria, relaxed with GGA-PBE.

Peak list (10 most intense, 2θ from 10° to 90°, most intense first)
| h k l | 2θ/deg | I (rel.) |
| --- | --- | --- |
| 1 1 -1 | 28.14 | 100 |
| 1 2 1 | 40.01 | 54 |
| 0 1 2 | 26.96 | 48 |
| 2 -1 0 | 40.38 | 22 |
| -1 1 1 | 24.04 | 19 |
| 1 0 -3 | 38.66 | 15 |
| 1 -1 3 | 38.78 | 15 |
| 0 0 1 | 10.97 | 14 |
| -2 2 2 | 49.15 | 10 |
| 0 4 0 | 50.01 | 10 |

Structure:
Cell: 4.468 7.723 8.173 Å, 98.95 90.20 106.77°
Space group P-1 (No. 2)
Inequivalent atoms, fractional coordinates:
Cs  0.121  0.235  0.395 [2 per cell]
Sn  0.370  0.742  0.089 [2 per cell]
Se  0.000  0.000  0.000 [1 per cell]
Se  0.253  0.510  0.800 [2 per cell]

Entry 3:
Simulated X-ray powder pattern of LiEr5Sb4 for Cu Kα, 1.54184 Å, from a crystal structure in Alexandria, relaxed with GGA-PBE.

Peak list (10 most intense, 2θ from 10° to 90°, most intense first)
| h k l | 2θ/deg | I (rel.) |
| --- | --- | --- |
| 3 1 0 | 29.48 | 100 |
| 3 1 2 | 41.76 | 56 |
| 2 4 0 | 42.18 | 37 |
| 0 0 2 | 28.91 | 34 |
| 2 4 2 | 51.95 | 29 |
| 1 2 1 | 25.30 | 17 |
| 1 1 2 | 31.84 | 17 |
| 5 5 2 | 76.83 | 16 |
| 5 5 0 | 69.36 | 16 |
| 3 1 4 | 68.15 | 14 |

Structure:
Cell: 9.580 9.580 6.178 Å, 90.00 90.00 90.00°
Space group I4 (No. 79)
Inequivalent atoms, fractional coordinates:
Li  0.000  0.000  0.000 [2 per cell]
Er  0.000  0.000  0.477 [2 per cell]
Er  0.099  0.689  0.800 [8 per cell]
Sb  0.100  0.713  0.301 [8 per cell]

Entry 4:
Simulated X-ray powder pattern of RbCu2Pd for Cu Kα, 1.54184 Å, from a crystal structure in Alexandria, relaxed with GGA-PBE.

Peak list (10 most intense, 2θ from 10° to 90°, most intense first)
| h k l | 2θ/deg | I (rel.) |
| --- | --- | --- |
| 1 1 2 | 27.38 | 100 |
| 2 2 4 | 56.49 | 49 |
| 1 0 1 | 18.57 | 49 |
| 1 1 6 | 40.49 | 34 |
| 2 0 4 | 41.92 | 31 |
| 2 0 0 | 36.12 | 24 |
| 0 0 8 | 41.82 | 23 |
| 2 0 2 | 37.64 | 22 |
| 3 1 2 | 59.77 | 21 |
| 3 1 6 | 67.91 | 14 |

Structure:
Cell: 4.973 4.973 17.280 Å, 90.00 90.00 90.00°
Space group I4_1/amd (No. 141, origin choice 2)
Inequivalent atoms, fractional coordinates:
Rb  0.000  0.250  0.375 [4 per cell]
Cu  0.000  0.000  0.000 [8 per cell]
Pd  0.000  0.250  0.875 [4 per cell]

Entry 5:
Simulated X-ray powder pattern of Ac2NbHO6 for Cu Kα, 1.54184 Å, from a crystal structure in Alexandria, relaxed with GGA-PBE.

Peak list (10 most intense, 2θ from 10° to 90°, most intense first)
| h k l | 2θ/deg | I (rel.) |
| --- | --- | --- |
| 1 1 0 | 26.92 | 100 |
| 1 1 -2 | 27.45 | 100 |
| 2 0 -2 | 30.73 | 91 |
| 1 0 2 | 28.82 | 88 |
| 1 0 -4 | 30.31 | 73 |
| 0 1 4 | 40.00 | 65 |
| 0 1 2 | 26.76 | 65 |
| 0 1 1 | 22.39 | 52 |
| 0 0 2 | 16.72 | 46 |
| 1 1 1 | 30.45 | 44 |

Structure:
Cell: 5.828 4.283 11.827 Å, 90.00 116.29 90.00°
Space group P2_1/c (No. 14)
Inequivalent atoms, fractional coordinates:
Ac  0.186  0.165  0.185 [4 per cell]
Nb  0.500  0.000  0.000 [2 per cell]
H  0.000  0.000  0.500 [2 per cell]
O  0.126  0.219  0.467 [4 per cell]
O  0.253  0.695  0.336 [4 per cell]
O  0.413  0.750  0.115 [4 per cell]

Entry 6:
Simulated X-ray powder pattern of PaReB for Cu Kα, 1.54184 Å, from a crystal structure in Alexandria, relaxed with GGA-PBE.

Peak list (10 most intense, 2θ from 10° to 90°, most intense first)
| h k l | 2θ/deg | I (rel.) |
| --- | --- | --- |
| 1 0 1 | 36.58 | 100 |
| 0 0 2 | 32.50 | 29 |
| 1 1 2 | 68.30 | 24 |
| 1 0 3 | 60.67 | 22 |
| 1 0 0 | 32.63 | 21 |
| 0 1 2 | 46.72 | 19 |
| 1 1 0 | 58.24 | 18 |
| 0 2 1 | 70.77 | 15 |
| 0 2 3 | 89.07 | 8 |
| 0 1 4 | 77.53 | 5 |

Structure:
Cell: 3.1685 3.1685 5.5106 Å, 90.00 90.00 120.00°
Space group P3m1 (No. 156)
Inequivalent atoms, fractional coordinates:
Pa  0.0000  0.0000  0.0000 [1 per cell]
Re  0.3333  0.6667  0.5298 [1 per cell]
B  0.6667  0.3333  0.3318 [1 per cell]

Entry 7:
Simulated X-ray powder pattern of Er12Tm6Pb for Cu Kα, 1.54184 Å, from a crystal structure in Alexandria, relaxed with GGA-PBE.

Peak list (8 most intense, 2θ from 10° to 90°, most intense first)
| h k l | 2θ/deg | I (rel.) |
| --- | --- | --- |
| 0 0 3 | 31.40 | 100 |
| 2 3 2 | 36.41 | 51 |
| 7 1 3 | 62.42 | 42 |
| 7 1 0 | 52.45 | 36 |
| 13 -9 1 | 85.84 | 18 |
| 9 4 2 | 88.64 | 17 |
| 10 -4 2 | 65.53 | 12 |
| 4 6 4 | 77.35 | 6 |

Structure:
Cell: 15.2119 15.2119 8.5443 Å, 90.00 90.00 120.00°
Space group R-3 (No. 148, hexagonal axes)
Inequivalent atoms, fractional coordinates:
Er  0.0356  0.7517  0.3390 [18 per cell]
Er  0.0698  0.5093  0.6650 [18 per cell]
Tm  0.0177  0.8781  0.6661 [18 per cell]
Pb  0.0000  0.0000  0.0000 [3 per cell]

Entry 8:
Simulated X-ray powder pattern of PrHo3In4 for Cu Kα, 1.54184 Å, from a crystal structure in Alexandria, relaxed with GGA-PBE.

Peak list (10 most intense, 2θ from 10° to 90°, most intense first)
| h k l | 2θ/deg | I (rel.) |
| --- | --- | --- |
| 2 2 1 | 33.88 | 100 |
| 4 0 0 | 33.14 | 30 |
| 6 2 1 | 59.68 | 19 |
| 0 0 2 | 32.40 | 19 |
| 4 0 2 | 47.03 | 13 |
| 1 0 2 | 33.47 | 11 |
| 4 4 0 | 61.53 | 10 |
| 0 4 0 | 50.26 | 9 |
| 1 2 1 | 30.60 | 9 |
| 4 4 2 | 71.28 | 7 |

Structure:
Cell: 10.811 7.262 5.526 Å, 90.00 90.00 90.00°
Space group Pmma (No. 51)
Inequivalent atoms, fractional coordinates:
Pr  0.000  0.000  0.000 [2 per cell]
Ho  0.000  0.500  0.000 [2 per cell]
Ho  0.250  0.000  0.431 [2 per cell]
Ho  0.250  0.500  0.418 [2 per cell]
In  0.000  0.260  0.500 [4 per cell]
In  0.250  0.259  0.914 [4 per cell]

Entry 9:
Simulated X-ray powder pattern of HfCu2Ni4 for Cu Kα, 1.54184 Å, from a crystal structure in Alexandria, relaxed with GGA-PBE.

Peak list (10 most intense, 2θ from 10° to 90°, most intense first)
| h k l | 2θ/deg | I (rel.) |
| --- | --- | --- |
| 1 1 -2 | 44.80 | 100 |
| -1 1 2 | 46.29 | 84 |
| 0 2 0 | 43.48 | 46 |
| 2 0 0 | 45.23 | 45 |
| 0 1 1 | 33.04 | 31 |
| 0 0 1 | 19.19 | 26 |
| -1 1 1 | 30.40 | 24 |
| 1 -1 1 | 29.35 | 20 |
| 1 -2 1 | 39.80 | 17 |
| 0 1 -1 | 24.07 | 16 |

Structure:
Cell: 4.553 4.794 4.897 Å, 102.40 97.92 114.41°
Space group P-1 (No. 2)
Inequivalent atoms, fractional coordinates:
Hf  0.000  0.000  0.000 [1 per cell]
Cu  0.022  0.570  0.278 [2 per cell]
Ni  0.449  0.979  0.731 [2 per cell]
Ni  0.500  0.500  0.000 [1 per cell]
Ni  0.500  0.500  0.500 [1 per cell]

Entry 10:
Simulated X-ray powder pattern of MnGa3Ru4 for Cu Kα, 1.54184 Å, from a crystal structure in Alexandria, relaxed with GGA-PBE.

Peak list (8 most intense, 2θ from 10° to 90°, most intense first)
| h k l | 2θ/deg | I (rel.) |
| --- | --- | --- |
| 2 0 0 | 42.40 | 100 |
| 3 1 4 | 77.56 | 32 |
| 2 2 0 | 61.55 | 11 |
| 0 0 8 | 61.44 | 5 |
| 1 1 0 | 29.63 | 5 |
| 2 0 4 | 52.58 | 1 |
| 2 2 4 | 69.72 | 1 |
| 3 1 0 | 69.79 | 1 |

Structure:
Cell: 4.261 4.261 12.073 Å, 90.00 90.00 90.00°
Space group I4/mmm (No. 139)
Inequivalent atoms, fractional coordinates:
Mn  0.000  0.000  0.000 [2 per cell]
Ga  0.000  0.000  0.249 [4 per cell]
Ga  0.000  0.000  0.500 [2 per cell]
Ru  0.000  0.500  0.125 [8 per cell]

Entry 11:
Simulated X-ray powder pattern of Ba4HgPt for Cu Kα, 1.54184 Å, from a crystal structure in Alexandria, relaxed with GGA-PBE.

Peak list (10 most intense, 2θ from 10° to 90°, most intense first)
| h k l | 2θ/deg | I (rel.) |
| --- | --- | --- |
| 1 1 0 | 17.85 | 100 |
| 2 0 1 | 31.04 | 87 |
| 1 -1 1 | 19.65 | 80 |
| 1 2 0 | 27.28 | 72 |
| 2 2 -2 | 31.29 | 71 |
| 2 1 -2 | 25.84 | 55 |
| 1 -3 0 | 34.64 | 43 |
| 0 2 -3 | 32.56 | 41 |
| -1 1 3 | 34.16 | 40 |
| 1 0 2 | 28.85 | 37 |

Structure:
Cell: 7.918 8.355 9.735 Å, 107.45 113.95 90.01°
Space group P-1 (No. 2)
Inequivalent atoms, fractional coordinates:
Ba  0.043  0.489  0.208 [2 per cell]
Ba  0.165  0.989  0.207 [2 per cell]
Ba  0.291  0.850  0.678 [2 per cell]
Ba  0.387  0.350  0.678 [2 per cell]
Hg  0.293  0.250  0.000 [2 per cell]
Pt  0.000  0.500  0.500 [1 per cell]
Pt  0.500  0.000  0.500 [1 per cell]

Entry 12:
Simulated X-ray powder pattern of Pm7SnGe2 for Cu Kα, 1.54184 Å, from a crystal structure in Alexandria, relaxed with GGA-PBE.

Peak list (10 most intense, 2θ from 10° to 90°, most intense first)
| h k l | 2θ/deg | I (rel.) |
| --- | --- | --- |
| 1 1 0 | 34.00 | 100 |
| 1 0 4 | 34.84 | 80 |
| 2 1 4 | 61.39 | 31 |
| 0 1 2 | 24.15 | 31 |
| 0 2 4 | 49.47 | 29 |
| 0 1 3 | 29.04 | 29 |
| 1 1 7 | 62.97 | 19 |
| 3 0 0 | 60.85 | 19 |
| 1 3 4 | 82.13 | 13 |
| 3 0 7 | 83.55 | 12 |

Structure:
Cell: 5.2735 5.2735 12.4728 Å, 90.00 90.00 120.00°
Space group P3m1 (No. 156)
Inequivalent atoms, fractional coordinates:
Pm  0.0000  0.0000  0.0000 [1 per cell]
Pm  0.0000  0.0000  0.2617 [1 per cell]
Pm  0.0000  0.0000  0.5338 [1 per cell]
Pm  0.3333  0.6667  0.1347 [1 per cell]
Pm  0.3333  0.6667  0.7001 [1 per cell]
Pm  0.6667  0.3333  0.3697 [1 per cell]
Pm  0.6667  0.3333  0.8536 [1 per cell]
Sn  0.3333  0.6667  0.4222 [1 per cell]
Ge  0.0000  0.0000  0.7668 [1 per cell]
Ge  0.6667  0.3333  0.1103 [1 per cell]